Entry 1:
Calculated powder X-ray diffraction pattern of Tm2Te2H for Cu Kα X-rays, from a GGA-PBE-relaxed structure.
Intensities are scaled so that the largest is 100.

Principal peaks in the range 10 to 90 degrees two-theta, most intense first:
2θ/deg	Rel. int.
31.62	100
34.92	98
25.56	78
24.30	76
34.27	75
34.11	69
41.78	64
40.27	52
37.61	48
46.62	46

Cell lengths 5.721, 5.721, 11.319 Å; angles 90.00, 90.00, 140.18 degrees
Positions (direct):
Tm1 0.056 0.944 0.500
Tm2 0.224 0.776 0.751
Tm3 0.776 0.224 0.251
Tm4 0.944 0.056 0.000
Te1 0.064 0.936 0.238
Te2 0.335 0.665 0.457
Te3 0.665 0.335 0.957
Te4 0.936 0.064 0.738
H1 0.364 0.636 0.108
H2 0.636 0.364 0.608

---

Entry 2:
Calculated powder X-ray diffraction pattern of CaAcSmHg for Cu Kα X-rays, from a GGA-PBE-relaxed structure.
Intensities are scaled so that the largest is 100.

Principal peaks in the range 10 to 90 degrees two-theta, most intense first:
2θ/deg	Rel. int.
30.05	100
33.48	43
57.74	32
51.07	16
18.45	16
48.07	16
23.50	14
44.65	12
38.49	11
37.41	10

Cell lengths 3.785, 3.785, 9.617 Å; angles 90.00, 90.00, 90.00 degrees
Positions (direct):
Ca1 0.000 0.000 0.000
Ac1 0.500 0.500 0.323
Sm1 0.000 0.000 0.604
Hg1 0.500 0.500 0.799

---

Entry 3:
Calculated powder X-ray diffraction pattern of Y8SbTe4P3 for Cu Kα X-rays, from a GGA-PBE-relaxed structure.
Intensities are scaled so that the largest is 100.

Principal peaks in the range 10 to 90 degrees two-theta, most intense first:
2θ/deg	Rel. int.
29.77	100
43.11	36
42.10	33
53.27	18
70.85	15
32.40	12
69.39	11
61.84	10
78.35	10
24.85	9

Cell lengths 8.590, 8.590, 8.590 Å; angles 58.49, 58.49, 58.49 degrees
Positions (direct):
Y1 0.222 0.747 0.747
Y2 0.236 0.236 0.236
Y3 0.253 0.253 0.778
Y4 0.253 0.778 0.253
Y5 0.747 0.222 0.747
Y6 0.747 0.747 0.222
Y7 0.764 0.764 0.764
Y8 0.778 0.253 0.253
Sb1 0.500 0.500 0.500
Te1 0.000 0.000 0.000
Te2 0.000 0.500 0.500
Te3 0.500 0.000 0.500
Te4 0.500 0.500 0.000
P1 0.000 0.000 0.500
P2 0.000 0.500 0.000
P3 0.500 0.000 0.000